# 1
HfTiFe4: computed powder X-ray diffraction pattern (Cu Ka), based on a DFT-relaxed cell (GGA-PBE, Alexandria).

Structural model:
```
data_HfTiFe4
_symmetry_space_group_name_H-M 'P 1'
_symmetry_Int_Tables_number 1
_symmetry_space_group_name_Hall 'P 1'
_cell_length_a 4.869
_cell_length_b 4.869
_cell_length_c 7.899
_cell_angle_alpha 90.00
_cell_angle_beta 90.00
_cell_angle_gamma 120.00
loop_
_atom_site_label
_atom_site_fract_x
_atom_site_fract_y
_atom_site_fract_z
Hf1 0.333 0.667 0.070
Hf2 0.667 0.333 0.930
Ti1 0.333 0.667 0.445
Ti2 0.667 0.333 0.555
Fe1 0.000 0.000 0.000
Fe2 0.000 0.000 0.500
Fe3 0.169 0.338 0.745
Fe4 0.169 0.831 0.745
Fe5 0.338 0.169 0.255
Fe6 0.662 0.831 0.745
Fe7 0.831 0.169 0.255
Fe8 0.831 0.662 0.255
```

Main lines, by angle (2θ from 10° to 90°):
2θ/deg  d/Å  I (rel.)
11.20  7.899  70
31.02  2.883  38
36.92  2.435  57
40.39  2.233  98
43.67  2.073  100
44.47  2.037  75

=====

# 2
Na3HoSb2Te6: computed powder X-ray diffraction pattern (Cu Ka), based on a DFT-relaxed cell (GGA-PBE, Alexandria).

Structural model:
```
data_Na3HoSb2Te6
_symmetry_space_group_name_H-M 'P 1'
_symmetry_Int_Tables_number 1
_symmetry_space_group_name_Hall 'P 1'
_cell_length_a 7.693
_cell_length_b 7.693
_cell_length_c 7.986
_cell_angle_alpha 99.23
_cell_angle_beta 99.23
_cell_angle_gamma 120.04
loop_
_atom_site_label
_atom_site_fract_x
_atom_site_fract_y
_atom_site_fract_z
Na1 0.000 0.000 0.000
Na2 0.328 0.672 0.000
Na3 0.672 0.328 0.000
Ho1 0.500 0.500 0.500
Sb1 0.166 0.834 0.500
Sb2 0.834 0.166 0.500
Te1 0.091 0.424 0.271
Te2 0.244 0.244 0.731
Te3 0.424 0.091 0.271
Te4 0.576 0.909 0.729
Te5 0.756 0.756 0.269
Te6 0.909 0.576 0.729
```

Main lines, by angle (2θ from 10° to 90°):
2θ/deg  d/Å  I (rel.)
11.70  7.564  31
28.03  3.183  100
39.48  2.283  38
40.63  2.220  37
64.75  1.440  16
66.40  1.408  18